[1]
Diffraction record for LiVP2O7. The powder XRD pattern is simulated, not measured: it uses DFT lattice parameters and positions (PBE+U) and copper Kα.
Kinematic intensities with the Lorentz-polarization factor, no thermal factor.

Peak list (10 most intense, 2θ = 5–70°, by angle)
(hkl)	2θ (°)	I (rel.)
1 1 -2	17.78	16.9
0 2 0	21.64	100.0
1 1 -3	22.51	21.0
0 0 4	26.98	86.3
2 2 0	29.20	18.7
3 1 -1	30.06	60.9
2 2 1	31.25	30.6
2 2 -3	32.31	42.1
1 1 -5	34.30	14.0
3 3 -2	43.91	16.4

Atomic structure:
```
data_LiVP2O7
_cell_length_a 9.587
_cell_length_b 8.198
_cell_length_c 13.794
_cell_angle_alpha 90.00
_cell_angle_beta 106.63
_cell_angle_gamma 90.00
_symmetry_space_group_name_H-M 'C 1 2/c 1'
_symmetry_Int_Tables_number 15
_symmetry_space_group_name_Hall '-C 2yc'
loop_
_atom_site_label
_atom_site_type_symbol
_atom_site_fract_x
_atom_site_fract_y
_atom_site_fract_z
_atom_site_occupancy
Li1 Li 0.212 0.002 0.335 1
V1 V 0.221 0.370 0.857 1
P1 P 0.041 0.303 0.415 1
P2 P 0.073 0.204 0.637 1
O1 O 0.091 0.183 0.878 1
O2 O 0.101 0.185 0.355 1
O3 O 0.101 0.481 0.414 1
O4 O 0.102 0.250 0.534 1
O5 O 0.129 0.302 0.108 1
O6 O 0.140 0.346 0.711 1
O7 O 0.155 0.047 0.677 1
```

=====

[2]
Diffraction record for Li2P2WO8. The powder XRD pattern is simulated, not measured: it uses DFT lattice parameters and positions (PBE+U) and copper Kα.
Kinematic intensities with the Lorentz-polarization factor, no thermal factor.

Peak list (10 most intense, 2θ = 5–70°, by angle)
(hkl)	2θ (°)	I (rel.)
0 1 1	15.83	100.0
1 0 0	20.48	50.5
1 0 -2	21.15	30.0
1 2 0	30.16	28.4
1 1 1	30.47	17.9
1 2 -2	30.67	19.5
1 1 -3	31.47	15.8
0 2 2	31.97	19.7
1 3 -1	37.68	14.6
0 3 3	48.82	15.4

Atomic structure:
```
data_Li2P2WO8
_cell_length_a 5.125
_cell_length_b 8.095
_cell_length_c 9.137
_cell_angle_alpha 90.00
_cell_angle_beta 121.94
_cell_angle_gamma 90.00
_symmetry_space_group_name_H-M 'P 1 21/c 1'
_symmetry_Int_Tables_number 14
_symmetry_space_group_name_Hall '-P 2ybc'
loop_
_atom_site_label
_atom_site_type_symbol
_atom_site_fract_x
_atom_site_fract_y
_atom_site_fract_z
_atom_site_occupancy
Li1 Li 0.010 0.130 0.412 1
P1 P 0.330 0.194 0.797 1
W1 W 0.000 0.000 0.000 1
O1 O 0.188 0.072 0.651 1
O2 O 0.202 0.126 0.234 1
O3 O 0.264 0.158 0.942 1
O4 O 0.308 0.694 0.614 1
```

=====

[3]
Diffraction record for LiPW2O8. The powder XRD pattern is simulated, not measured: it uses DFT lattice parameters and positions (PBE+U) and copper Kα.
Kinematic intensities with the Lorentz-polarization factor, no thermal factor.

Peak list (10 most intense, 2θ = 5–70°, by angle)
(hkl)	2θ (°)	I (rel.)
0 0 1	9.72	26.9
1 0 1	17.71	27.0
1 1 -1	22.23	100.0
1 0 2	25.46	39.0
1 1 -2	27.23	16.6
2 1 0	31.33	17.9
0 2 0	32.90	14.0
0 1 3	33.84	23.3
2 1 1	34.25	16.6
2 2 -2	45.35	15.6

Atomic structure:
```
data_LiPW2O8
_cell_length_a 6.805
_cell_length_b 5.444
_cell_length_c 9.228
_cell_angle_alpha 90.00
_cell_angle_beta 99.74
_cell_angle_gamma 90.00
_symmetry_space_group_name_H-M 'P 1 21/m 1'
_symmetry_Int_Tables_number 11
_symmetry_space_group_name_Hall '-P 2yb'
loop_
_atom_site_label
_atom_site_type_symbol
_atom_site_fract_x
_atom_site_fract_y
_atom_site_fract_z
_atom_site_occupancy
Li1 Li 0.203 0.250 0.124 1
P1 P 0.278 0.750 0.877 1
W1 W 0.142 0.250 0.411 1
W2 W 0.449 0.750 0.248 1
O1 O 0.000 0.000 0.500 1
O2 O 0.061 0.750 0.793 1
O3 O 0.257 0.750 0.043 1
O4 O 0.278 0.010 0.300 1
O5 O 0.363 0.250 0.581 1
O6 O 0.389 0.516 0.845 1
```

=====

[4]
Diffraction record for LiP3W2O13. The powder XRD pattern is simulated, not measured: it uses DFT lattice parameters and positions (PBE+U) and copper Kα.
Kinematic intensities with the Lorentz-polarization factor, no thermal factor.

Peak list (10 most intense, 2θ = 5–70°, by angle)
(hkl)	2θ (°)	I (rel.)
1 0 0	12.89	18.6
1 1 -1	18.67	100.0
1 1 1	19.71	77.3
0 0 2	19.91	23.7
0 2 0	20.26	22.0
2 0 0	25.95	17.8
0 2 2	28.56	43.1
2 2 0	33.14	18.4
1 1 -3	33.51	24.3
1 3 1	35.15	16.2

Atomic structure:
```
data_LiP3W2O13
_cell_length_a 6.888
_cell_length_b 8.765
_cell_length_c 8.946
_cell_angle_alpha 90.00
_cell_angle_beta 94.40
_cell_angle_gamma 90.00
_symmetry_space_group_name_H-M 'P 1 2/c 1'
_symmetry_Int_Tables_number 13
_symmetry_space_group_name_Hall '-P 2yc'
loop_
_atom_site_label
_atom_site_type_symbol
_atom_site_fract_x
_atom_site_fract_y
_atom_site_fract_z
_atom_site_occupancy
Li1 Li 0.000 0.143 0.250 1
P1 P 0.338 0.432 0.838 1
P2 P 0.500 0.041 0.250 1
W1 W 0.266 0.238 0.518 1
O1 O 0.023 0.181 0.467 1
O2 O 0.215 0.447 0.408 1
O3 O 0.216 0.339 0.720 1
O4 O 0.350 0.143 0.322 1
O5 O 0.381 0.055 0.632 1
O6 O 0.448 0.328 0.953 1
O7 O 0.500 0.479 0.250 1
```

=====

[5]
Diffraction record for LiP4WO12. The powder XRD pattern is simulated, not measured: it uses DFT lattice parameters and positions (PBE+U) and copper Kα.
Kinematic intensities with the Lorentz-polarization factor, no thermal factor.

Peak list (10 most intense, 2θ = 5–70°, by angle)
(hkl)	2θ (°)	I (rel.)
1 1 -1	13.93	100.0
2 0 0	16.52	23.3
1 1 1	18.79	65.9
0 0 2	19.67	30.4
0 2 0	20.89	18.8
3 1 -1	24.22	50.4
2 2 -2	28.06	22.5
0 2 2	28.85	69.2
3 1 -3	29.89	29.4
4 2 -2	36.25	18.7

Atomic structure:
```
data_LiP4WO12
_cell_length_a 12.290
_cell_length_b 8.505
_cell_length_c 10.334
_cell_angle_alpha 90.00
_cell_angle_beta 119.15
_cell_angle_gamma 90.00
_symmetry_space_group_name_H-M 'C 1 2/c 1'
_symmetry_Int_Tables_number 15
_symmetry_space_group_name_Hall '-C 2yc'
loop_
_atom_site_label
_atom_site_type_symbol
_atom_site_fract_x
_atom_site_fract_y
_atom_site_fract_z
_atom_site_occupancy
Li1 Li 0.000 0.027 0.250 1
P1 P 0.008 0.264 0.974 1
P2 P 0.188 0.494 0.193 1
W1 W 0.250 0.250 0.500 1
O1 O 0.033 0.126 0.908 1
O2 O 0.053 0.250 0.428 1
O3 O 0.074 0.392 0.656 1
O4 O 0.136 0.361 0.068 1
O5 O 0.212 0.081 0.326 1
O6 O 0.229 0.427 0.342 1
```

=====

- What is the formula in the fifth record?
  LiP4WO12